No. 1
For Na2LaCuAs, a cell relaxed with PBE gives the calculated PXRD pattern in this record (CuKα).

Cell and atoms:
Lattice parameters (Å, degrees): 4.999 4.999 4.906 90.00 90.00 90.00
Space group P4/mmm (No. 123)
Asymmetric unit:
Na (0.000, 0.500, 0.000) (multiplicity 2)
La (0.000, 0.000, 0.500) (multiplicity 1)
Cu (0.500, 0.500, 0.000) (multiplicity 1)
As (0.500, 0.500, 0.500) (multiplicity 1)

The 6 most intense peaks (5 to 70 degrees two-theta), low angle first:
- hkl 1 1 0, 25.2 deg, I 100
- hkl 1 0 1, 25.4 deg, I 59
- hkl 1 1 1, 31.2 deg, I 79
- hkl 2 0 0, 35.9 deg, I 80
- hkl 1 1 2, 45.0 deg, I 42
- hkl 2 0 2, 52.2 deg, I 53

No. 2
For Tl2SbCl6, a cell relaxed with PBE gives the calculated PXRD pattern in this record (CuKα).

Cell and atoms:
Lattice parameters (Å, degrees): 12.478 7.220 6.282 90.00 90.69 90.00
Space group C2/m (No. 12)
Asymmetric unit:
Tl (0.168, 0.000, 0.188) (multiplicity 4)
Sb (0.000, 0.500, 0.000) (multiplicity 2)
Cl (0.084, 0.247, 0.776) (multiplicity 8)
Cl (0.170, 0.500, 0.227) (multiplicity 4)

The 6 most intense peaks (5 to 70 degrees two-theta), low angle first:
- hkl 0 0 1, 14.1 deg, I 58
- hkl 2 0 -1, 20.0 deg, I 44
- hkl 1 1 1, 20.1 deg, I 58
- hkl 3 1 0, 24.7 deg, I 94
- hkl 0 0 2, 28.5 deg, I 47
- hkl 2 2 -1, 31.9 deg, I 100